For La2PrCu2B2N3, a cell relaxed with PBE gives the calculated X-ray powder pattern in this record (Cu Kα, 1.54184 Å).
Neutral-atom scattering factors, no anomalous dispersion.

The 10 most intense peaks (15° ≤ 2θ ≤ 90°), in order of falling intensity:
- 27.25 deg, rel. 100
- 34.21 deg, rel. 95
- 32.24 deg, rel. 81
- 49.20 deg, rel. 66
- 35.33 deg, rel. 52
- 61.28 deg, rel. 40
- 38.42 deg, rel. 40
- 43.16 deg, rel. 31
- 60.06 deg, rel. 28
- 57.16 deg, rel. 28

a = 10.8126 Å, b = 10.8126 Å, c = 10.8126 Å
α = 160.28°, β = 160.28°, γ = 28.03°
Sites, in units of the cell vectors:
La  0.1245  0.1245  0.0000
La  0.8755  0.8755  0.0000
Pr  0.5000  0.5000  0.0000
Cu  0.2500  0.7500  0.5000
Cu  0.7500  0.2500  0.5000
B  0.3124  0.3124  0.0000
B  0.6876  0.6876  0.0000
N  0.0000  0.0000  0.0000
N  0.3805  0.3805  0.0000
N  0.6195  0.6195  0.0000